[1]
For Sr3PbI, a structure optimized by DFT (GGA-PBE) gives the theoretical powder diffraction line list in this record (Cu Kα X-rays).

The 10 most intense peaks (2θ from 10° to 90°), low angle first:
| Position (°2θ) | Rel. int. | hkl |
| --- | --- | --- |
| 14.91 | 34.8 | 1 0 1 |
| 18.89 | 33.5 | 0 0 2 |
| 20.43 | 29.5 | 0 1 1 |
| 26.78 | 100.0 | 2 1 0 |
| 27.03 | 73.5 | 2 1 -1 |
| 29.45 | 62.9 | 1 1 2 |
| 30.48 | 47.8 | 2 1 -2 |
| 33.69 | 67.7 | 1 1 -3 |
| 35.32 | 44.4 | 2 1 2 |
| 36.65 | 48.4 | 0 2 0 |

Structure:
a b c (Å): 9.266 4.904 9.599
angles (deg): 90.00 101.84 90.00
Space group P2_1/m (No. 11)
Asymmetric unit:
Sr 0.088 0.250 0.372 [2 per cell]
Sr 0.168 0.750 0.026 [2 per cell]
Sr 0.399 0.750 0.730 [2 per cell]
Pb 0.156 0.250 0.772 [2 per cell]
I 0.364 0.750 0.365 [2 per cell]



[2]
For TePbI6, a structure optimized by DFT (GGA-PBE) gives the theoretical powder diffraction line list in this record (Cu Kα X-rays).

The 10 most intense peaks (2θ from 10° to 90°), low angle first:
| Position (°2θ) | Rel. int. | hkl |
| --- | --- | --- |
| 12.80 | 38.0 | 0 2 0 |
| 15.71 | 41.2 | 1 1 -1 |
| 24.09 | 21.0 | 1 3 -1 |
| 27.73 | 100.0 | 1 3 1 |
| 28.91 | 43.8 | 2 0 -2 |
| 39.09 | 19.9 | 0 6 0 |
| 40.16 | 16.2 | 2 0 2 |
| 40.41 | 33.4 | 3 3 -1 |
| 40.58 | 34.1 | 1 3 -3 |
| 49.34 | 18.4 | 2 6 -2 |

Structure:
a b c (Å): 7.658 13.827 7.616
angles (deg): 90.00 107.97 90.00
Space group C2/m (No. 12)
Asymmetric unit:
Te 0.000 0.000 0.000 [2 per cell]
Pb 0.000 0.500 0.500 [2 per cell]
I 0.228 0.156 0.232 [8 per cell]
I 0.242 0.000 0.761 [4 per cell]



[3]
For TePb2I2, a structure optimized by DFT (GGA-PBE) gives the theoretical powder diffraction line list in this record (Cu Kα X-rays).

The 10 most intense peaks (2θ from 10° to 90°), low angle first:
| Position (°2θ) | Rel. int. | hkl |
| --- | --- | --- |
| 25.78 | 100.0 | 0 1 5 |
| 30.67 | 28.3 | 0 1 8 |
| 34.63 | 23.3 | 1 0 10 |
| 38.84 | 42.3 | 1 1 0 |
| 41.28 | 27.5 | 1 0 13 |
| 47.21 | 19.7 | 2 0 5 |
| 62.73 | 17.0 | 1 2 5 |
| 63.65 | 20.0 | 1 1 18 |
| 67.67 | 13.9 | 0 1 23 |
| 71.98 | 10.8 | 2 1 13 |

Structure:
a b c (Å): 4.6372 4.6372 33.9003
angles (deg): 90.00 90.00 120.00
Space group R-3m (No. 166, hexagonal axes)
Asymmetric unit:
Te 0.0000 0.0000 0.0000 [3 per cell]
Pb 0.0000 0.0000 0.3895 [6 per cell]
I 0.0000 0.0000 0.2217 [6 per cell]



[4]
For ThPbI6, a structure optimized by DFT (GGA-PBE) gives the theoretical powder diffraction line list in this record (Cu Kα X-rays).

The 10 most intense peaks (2θ from 10° to 90°), low angle first:
| Position (°2θ) | Rel. int. | hkl |
| --- | --- | --- |
| 11.42 | 99.7 | 0 0 2 |
| 26.43 | 41.2 | 0 1 3 |
| 27.36 | 30.2 | 2 1 1 |
| 27.90 | 100.0 | 1 1 3 |
| 29.02 | 71.5 | 3 0 2 |
| 33.95 | 54.5 | 3 1 1 |
| 37.82 | 30.9 | 3 1 3 |
| 39.20 | 35.8 | 2 0 6 |
| 40.53 | 26.6 | 0 2 0 |
| 50.62 | 37.7 | 3 2 2 |

Structure:
a b c (Å): 10.070 4.451 15.497
angles (deg): 90.00 90.00 90.00
Space group Amm2 (No. 38)
Asymmetric unit:
Th 0.000 0.000 0.000 [2 per cell]
Pb 0.500 0.000 0.469 [2 per cell]
I 0.000 0.000 0.645 [2 per cell]
I 0.175 0.000 0.394 [4 per cell]
I 0.297 0.000 0.081 [4 per cell]
I 0.500 0.000 0.824 [2 per cell]



[5]
For Tl6PbI10, a structure optimized by DFT (GGA-PBE) gives the theoretical powder diffraction line list in this record (Cu Kα X-rays).

The 10 most intense peaks (2θ from 10° to 90°), low angle first:
| Position (°2θ) | Rel. int. | hkl |
| --- | --- | --- |
| 20.91 | 25.3 | 2 -1 2 |
| 26.06 | 18.7 | 0 0 4 |
| 28.33 | 75.1 | 2 1 2 |
| 28.51 | 100.0 | 3 0 0 |
| 30.92 | 88.1 | 1 1 4 |
| 42.55 | 35.2 | 4 -2 4 |
| 44.06 | 18.6 | 5 -2 2 |
| 47.40 | 17.9 | 3 -1 6 |
| 56.16 | 16.9 | 5 1 2 |
| 61.83 | 19.1 | 3 0 8 |

Structure:
a b c (Å): 10.8450 10.8450 13.6766
angles (deg): 90.00 90.00 120.00
Space group P31c (No. 159)
Asymmetric unit:
Tl 0.0262 0.3804 0.0000 [6 per cell]
Tl 0.0309 0.6468 0.7504 [6 per cell]
Pb 0.0000 0.0000 0.3746 [2 per cell]
I 0.0044 0.2591 0.2525 [6 per cell]
I 0.0038 0.7456 0.4972 [6 per cell]
I 0.3333 0.6667 0.1570 [2 per cell]
I 0.3333 0.6667 0.3734 [2 per cell]
I 0.3333 0.6667 0.5922 [2 per cell]
I 0.3333 0.6667 0.8773 [2 per cell]



[6]
For Zn2PbI6, a structure optimized by DFT (GGA-PBE) gives the theoretical powder diffraction line list in this record (Cu Kα X-rays).

The 10 most intense peaks (2θ from 10° to 90°), low angle first:
| Position (°2θ) | Rel. int. | hkl |
| --- | --- | --- |
| 19.46 | 45.3 | 3 1 0 |
| 24.24 | 93.2 | 1 3 1 |
| 24.41 | 37.5 | 2 0 -2 |
| 24.54 | 34.0 | 4 0 0 |
| 27.84 | 100.0 | 3 3 -1 |
| 28.91 | 58.1 | 2 0 2 |
| 40.08 | 35.2 | 6 0 -2 |
| 40.49 | 64.6 | 1 3 -3 |
| 40.65 | 71.0 | 5 3 1 |
| 47.01 | 32.7 | 2 6 -2 |

Structure:
a b c (Å): 14.814 13.693 7.661
angles (deg): 90.00 101.63 90.00
Space group C2/c (No. 15)
Asymmetric unit:
Zn 0.194 0.076 0.305 [8 per cell]
Pb 0.000 0.382 0.250 [4 per cell]
I 0.122 0.415 0.652 [8 per cell]
I 0.130 0.231 0.114 [8 per cell]
I 0.136 0.080 0.609 [8 per cell]